Entry 1:
This entry pairs a crystal structure of MnZn3Ga with its calculated X-ray diffraction stick pattern. Radiation: copper Kα. Structure: DFT lattice parameters and positions (GGA-PBE).

Peak list (10 most intense, 2θ = 5–70°, low angle first)
- d = 3.317 Å, rel. 1
- d = 2.623 Å, rel. 1
- d = 2.520 Å, rel. 1
- d = 2.264 Å, rel. 100
- d = 2.210 Å, rel. 93
- d = 1.971 Å, rel. 64
- d = 1.873 Å, rel. 28
- d = 1.394 Å, rel. 19
- d = 1.383 Å, rel. 9
- d = 1.358 Å, rel. 17

```
MnZn3Ga
1.0
6.025 -3.944 0.000
6.025 3.944 0.000
-5.663 0.000 6.130
Mn Zn Ga
4 12 4
direct
0.032 0.780 0.863 Mn
0.220 0.968 0.637 Mn
0.780 0.032 0.363 Mn
0.968 0.220 0.137 Mn
0.080 0.329 0.554 Zn
0.179 0.422 0.945 Zn
0.264 0.526 0.342 Zn
0.329 0.080 0.054 Zn
0.422 0.179 0.445 Zn
0.474 0.736 0.158 Zn
0.526 0.264 0.842 Zn
0.578 0.821 0.555 Zn
0.671 0.920 0.946 Zn
0.736 0.474 0.658 Zn
0.821 0.578 0.055 Zn
0.920 0.671 0.446 Zn
0.106 0.894 0.250 Ga
0.360 0.640 0.750 Ga
0.640 0.360 0.250 Ga
0.894 0.106 0.750 Ga
```

Entry 2:
This entry pairs a crystal structure of Hg4Te3Br with its calculated X-ray diffraction stick pattern. Radiation: copper Kα. Structure: DFT lattice parameters and positions (GGA-PBE).

Peak list (10 most intense, 2θ = 5–70°, low angle first)
- d = 6.688 Å, rel. 72
- d = 5.788 Å, rel. 72
- d = 4.668 Å, rel. 82
- d = 3.814 Å, rel. 62
- d = 3.126 Å, rel. 100
- d = 2.994 Å, rel. 75
- d = 2.784 Å, rel. 90
- d = 2.752 Å, rel. 85
- d = 2.171 Å, rel. 82
- d = 2.137 Å, rel. 70

```
Hg4Te3Br
1.0
5.833 0.000 0.000
0.788 7.628 0.000
0.881 3.730 7.104
Hg Te Br
4 3 1
direct
0.000 0.000 0.000 Hg
0.041 0.445 0.528 Hg
0.293 0.747 0.861 Hg
0.429 0.872 0.404 Hg
0.353 0.310 0.840 Te
0.707 0.138 0.697 Te
0.932 0.856 0.391 Te
0.313 0.350 0.282 Br
```